1.
Diffraction record for MgFeF4. The XRD peak list is calculated, not measured: it uses a GGA+U-relaxed structure and λ = 1.5418 Å (Cu Kα).
Intensities are scaled so that the largest is 100.

Structural model:
Cell lengths 5.0787, 5.1015, 6.2799 Å; angles 113.89, 113.59, 90.15 degrees
Sites, in units of the cell vectors:
Mg 0.0000 0.0000 0.0000
Mg 0.5002 0.4986 0.0001
Fe 0.2476 0.7531 0.4992
Fe 0.7544 0.2554 0.5016
F 0.1020 0.1674 0.7651
F 0.1537 0.6646 0.7600
F 0.3436 0.8271 0.2339
F 0.3971 0.3284 0.2360
F 0.6007 0.0999 0.7632
F 0.6567 0.6004 0.7643
F 0.8483 0.9032 0.2413
F 0.8969 0.4008 0.2367

Peak list (10 most intense, 2θ = 10–90°, in order of rising 2θ)
d [Å], Position (°2θ), I (rel.)
5.159, 17.2, 13
3.599, 24.7, 21
2.954, 30.3, 100
2.945, 30.3, 33
2.285, 39.4, 10
1.814, 50.3, 71
1.806, 50.5, 24
1.802, 50.7, 22
1.797, 50.8, 22
1.540, 60.1, 13

2.
Diffraction record for InAgW2O8. The XRD peak list is calculated, not measured: it uses a GGA+U-relaxed structure and λ = 1.5418 Å (Cu Kα).
Intensities are scaled so that the largest is 100.

Structural model:
Cell lengths 10.4125, 5.9410, 5.1693 Å; angles 90.00, 90.99, 90.00 degrees
Sites, in units of the cell vectors:
In 0.0000 0.1797 0.2500
In 0.0000 0.8203 0.7500
Ag 0.5000 0.1784 0.2500
Ag 0.5000 0.8216 0.7500
W 0.2389 0.3299 0.7431
W 0.2389 0.6701 0.2431
W 0.7611 0.3299 0.7569
W 0.7611 0.6701 0.2569
O 0.1139 0.1255 0.6012
O 0.1139 0.8745 0.1012
O 0.1305 0.3949 0.0508
O 0.1305 0.6051 0.5508
O 0.3271 0.4031 0.4296
O 0.3271 0.5969 0.9296
O 0.3525 0.1359 0.8722
O 0.3525 0.8641 0.3722
O 0.6475 0.1359 0.6278
O 0.6475 0.8641 0.1278
O 0.6729 0.4031 0.0704
O 0.6729 0.5969 0.5704
O 0.8695 0.3949 0.4492
O 0.8695 0.6051 0.9492
O 0.8861 0.1255 0.8988
O 0.8861 0.8745 0.3988

Peak list (10 most intense, 2θ = 10–90°, in order of rising 2θ)
d [Å], Position (°2θ), I (rel.)
3.913, 22.7, 63
3.141, 28.4, 100
3.101, 28.8, 94
2.971, 30.1, 16
2.603, 34.5, 25
2.584, 34.7, 31
2.575, 34.8, 39
1.851, 49.2, 44
1.839, 49.6, 19
1.823, 50.0, 23

3.
Diffraction record for Sm2Mo3O12. The XRD peak list is calculated, not measured: it uses a GGA+U-relaxed structure and λ = 1.5418 Å (Cu Kα).
Intensities are scaled so that the largest is 100.

Structural model:
Cell lengths 7.0230, 7.0230, 11.6259 Å; angles 100.62, 100.62, 112.74 degrees
Sites, in units of the cell vectors:
Sm 0.0477 0.3034 0.0915
Sm 0.3034 0.0477 0.5915
Sm 0.6966 0.9523 0.4085
Sm 0.9523 0.6966 0.9085
Mo 0.1193 0.8807 0.2500
Mo 0.1996 0.4861 0.4473
Mo 0.4861 0.1996 0.9473
Mo 0.5139 0.8004 0.0527
Mo 0.8004 0.5139 0.5527
Mo 0.8807 0.1193 0.7500
O 0.0108 0.5967 0.2178
O 0.0312 0.9486 0.1109
O 0.0514 0.9688 0.3891
O 0.1002 0.6744 0.5788
O 0.2074 0.3549 0.3009
O 0.2256 0.6285 0.0396
O 0.3225 0.3903 0.5543
O 0.3256 0.8998 0.9212
O 0.3549 0.2074 0.8009
O 0.3715 0.7744 0.4604
O 0.3903 0.3225 0.0543
O 0.4033 0.9892 0.2822
O 0.5967 0.0108 0.7178
O 0.6097 0.6775 0.9457
O 0.6285 0.2256 0.5396
O 0.6451 0.7926 0.1991
O 0.6744 0.1002 0.0788
O 0.6775 0.6097 0.4457
O 0.7744 0.3715 0.9604
O 0.7926 0.6451 0.6991
O 0.8998 0.3256 0.4212
O 0.9486 0.0312 0.6109
O 0.9688 0.0514 0.8891
O 0.9892 0.4033 0.7822

Peak list (10 most intense, 2θ = 10–90°, in order of rising 2θ)
d [Å], Position (°2θ), I (rel.)
6.212, 14.3, 24
5.482, 16.2, 21
5.160, 17.2, 15
3.631, 24.5, 31
3.239, 27.5, 100
3.099, 28.8, 78
2.924, 30.6, 26
2.663, 33.6, 30
1.969, 46.1, 47
1.945, 46.7, 15

4.
Diffraction record for BaCo2Si2O7. The XRD peak list is calculated, not measured: it uses a GGA+U-relaxed structure and λ = 1.5418 Å (Cu Kα).
Intensities are scaled so that the largest is 100.

Structural model:
Cell lengths 7.4332, 7.4332, 13.9259 Å; angles 90.06, 90.06, 120.71 degrees
Sites, in units of the cell vectors:
Ba 0.1817 0.2203 0.1232
Ba 0.2203 0.1817 0.6232
Ba 0.7797 0.8183 0.3768
Ba 0.8183 0.7797 0.8768
Co 0.1992 0.7379 0.4900
Co 0.2280 0.7720 0.2500
Co 0.2325 0.7675 0.7500
Co 0.2621 0.8008 0.0100
Co 0.7379 0.1992 0.9900
Co 0.7675 0.2325 0.2500
Co 0.7720 0.2280 0.7500
Co 0.8008 0.2621 0.5100
Si 0.1663 0.4116 0.8674
Si 0.2118 0.4260 0.3814
Si 0.4116 0.1663 0.3674
Si 0.4260 0.2118 0.8814
Si 0.5740 0.7882 0.1186
Si 0.5884 0.8337 0.6326
Si 0.7882 0.5740 0.6186
Si 0.8337 0.5884 0.1326
O 0.0130 0.2383 0.9463
O 0.0502 0.2810 0.2979
O 0.0807 0.3521 0.7564
O 0.1106 0.3838 0.4893
O 0.2079 0.6502 0.8848
O 0.2383 0.0130 0.4463
O 0.2810 0.0502 0.7979
O 0.3174 0.6821 0.3664
O 0.3179 0.6826 0.1336
O 0.3498 0.7921 0.6152
O 0.3521 0.0807 0.2564
O 0.3838 0.1106 0.9893
O 0.3964 0.4214 0.8781
O 0.4214 0.3964 0.3781
O 0.5786 0.6036 0.6219
O 0.6036 0.5786 0.1219
O 0.6162 0.8894 0.0107
O 0.6479 0.9193 0.7436
O 0.6502 0.2079 0.3848
O 0.6821 0.3174 0.8664
O 0.6826 0.3179 0.6336
O 0.7190 0.9498 0.2021
O 0.7617 0.9870 0.5537
O 0.7921 0.3498 0.1152
O 0.8894 0.6162 0.5107
O 0.9193 0.6479 0.2436
O 0.9498 0.7190 0.7021
O 0.9870 0.7617 0.0537

Peak list (10 most intense, 2θ = 10–90°, in order of rising 2θ)
d [Å], Position (°2θ), I (rel.)
3.279, 27.2, 90
3.251, 27.4, 29
3.195, 27.9, 100
3.065, 29.1, 99
2.541, 35.3, 22
2.528, 35.5, 38
2.301, 39.2, 33
1.991, 45.6, 29
1.741, 52.6, 17
1.584, 58.3, 19